No. 1
The following is a theoretical powder X-ray diffraction pattern of BaMnW4. It was derived from the GGA-PBE geometry in Alexandria, using a wavelength of 1.5418 Å.

The 6 most intense peaks (10° ≤ 2θ ≤ 90°), in order of rising 2θ:
d 4.512, I 39, hkl 1 1 1; d 2.356, I 100, hkl 3 1 1; d 2.256, I 63, hkl 2 2 2; d 1.504, I 33, hkl 5 1 1; d 1.381, I 31, hkl 4 4 0; d 1.178, I 25, hkl 6 2 2

Structure:
```
data_BaMnW4
_space_group_name_H-M_alt 'F -4 3 m'
_space_group_IT_number 216
_space_group_name_Hall 'F -4 2 3'
_cell_length_a 7.8148
_cell_length_b 7.8148
_cell_length_c 7.8148
_cell_angle_alpha 90.00
_cell_angle_beta 90.00
_cell_angle_gamma 90.00
loop_
_atom_site_label
_atom_site_type_symbol
_atom_site_fract_x
_atom_site_fract_y
_atom_site_fract_z
Ba1 Ba 0.0000 0.0000 0.0000
Mn1 Mn 0.2500 0.2500 0.7500
W1 W 0.1248 0.1248 0.3752
```


No. 2
The following is a theoretical powder X-ray diffraction pattern of BaMo2. It was derived from the GGA-PBE geometry in Alexandria, using a wavelength of 1.5418 Å.

The 6 most intense peaks (10° ≤ 2θ ≤ 90°), in order of rising 2θ:
d 3.812, I 38, hkl 2 0 1; d 3.121, I 37, hkl 2 0 -3; d 2.736, I 66, hkl 1 1 -2; d 2.442, I 32, hkl 4 0 -2; d 2.346, I 43, hkl 1 1 -3; d 2.281, I 100, hkl 3 1 0

Structure:
```
data_BaMo2
_space_group_name_H-M_alt 'C 1 2/m 1'
_space_group_IT_number 12
_cell_length_a 9.9625
_cell_length_b 3.2942
_cell_length_c 10.0326
_cell_angle_alpha 90.00
_cell_angle_beta 107.75
_cell_angle_gamma 90.00
loop_
_space_group_symop_operation_xyz
'x,y,z'
'-x,-y,-z'
'-x,y,-z'
'x,-y,z'
'x+1/2,y+1/2,z'
'-x+1/2,-y+1/2,-z'
'-x+1/2,y+1/2,-z'
'x+1/2,-y+1/2,z'
loop_
_atom_site_label
_atom_site_type_symbol
_atom_site_fract_x
_atom_site_fract_y
_atom_site_fract_z
Ba1 Ba 0.1727 0.0000 0.1492
Mo1 Mo 0.0084 0.5000 0.3563
Mo2 Mo 0.1588 0.0000 0.5340
```


No. 3
The following is a theoretical powder X-ray diffraction pattern of Ba5Mo. It was derived from the GGA-PBE geometry in Alexandria, using a wavelength of 1.5418 Å.

The 6 most intense peaks (10° ≤ 2θ ≤ 90°), in order of rising 2θ:
d 3.720, I 29, hkl 4 0 -1; d 3.535, I 63, hkl 2 0 -3; d 3.410, I 65, hkl 2 0 2; d 3.315, I 95, hkl 1 1 -2; d 3.107, I 100, hkl 3 1 0; d 2.264, I 28, hkl 5 1 -3

Structure:
```
data_Ba5Mo
_space_group_name_H-M_alt 'C 1 2/m 1'
_space_group_IT_number 12
_cell_length_a 14.8955
_cell_length_b 4.2350
_cell_length_c 10.6599
_cell_angle_alpha 90.00
_cell_angle_beta 112.97
_cell_angle_gamma 90.00
loop_
_space_group_symop_operation_xyz
'x,y,z'
'-x,-y,-z'
'-x,y,-z'
'x,-y,z'
'x+1/2,y+1/2,z'
'-x+1/2,-y+1/2,-z'
'-x+1/2,y+1/2,-z'
'x+1/2,-y+1/2,z'
loop_
_atom_site_label
_atom_site_type_symbol
_atom_site_fract_x
_atom_site_fract_y
_atom_site_fract_z
Ba1 Ba 0.0000 0.0000 0.0000
Ba2 Ba 0.1261 0.5000 0.3770
Ba3 Ba 0.1656 0.5000 0.7759
Mo1 Mo 0.0000 0.0000 0.5000
```


No. 4
The following is a theoretical powder X-ray diffraction pattern of Ba2Mo3. It was derived from the GGA-PBE geometry in Alexandria, using a wavelength of 1.5418 Å.

The 6 most intense peaks (10° ≤ 2θ ≤ 90°), in order of rising 2θ:
d 3.122, I 100, hkl 0 1 5; d 2.816, I 63, hkl 1 0 7; d 2.663, I 36, hkl 0 0 12; d 2.066, I 49, hkl 1 1 0; d 1.665, I 29, hkl 0 1 17; d 1.632, I 45, hkl 1 1 12

Structure:
```
data_Ba2Mo3
_space_group_name_H-M_alt 'R -3 m'
_space_group_IT_number 166
_space_group_name_Hall '-R 3 2"'
_cell_length_a 4.1310
_cell_length_b 4.1310
_cell_length_c 31.9602
_cell_angle_alpha 90.00
_cell_angle_beta 90.00
_cell_angle_gamma 120.00
loop_
_atom_site_label
_atom_site_type_symbol
_atom_site_fract_x
_atom_site_fract_y
_atom_site_fract_z
Ba1 Ba 0.0000 0.0000 0.0874
Mo1 Mo 0.0000 0.0000 0.3335
Mo2 Mo 0.0000 0.0000 0.5000
```


No. 5
The following is a theoretical powder X-ray diffraction pattern of BaMoN2. It was derived from the GGA-PBE geometry in Alexandria, using a wavelength of 1.5418 Å.

The 6 most intense peaks (10° ≤ 2θ ≤ 90°), in order of rising 2θ:
d 5.281, I 34, hkl 1 1 0; d 4.067, I 74, hkl 1 1 -1; d 3.088, I 100, hkl 3 1 0; d 3.031, I 49, hkl 0 2 0; d 2.034, I 34, hkl 2 2 -2; d 1.967, I 32, hkl 5 1 -2

Structure:
```
data_BaMoN2
_space_group_name_H-M_alt 'C 1 2 1'
_space_group_IT_number 5
_cell_length_a 11.6319
_cell_length_b 6.0612
_cell_length_c 5.5146
_cell_angle_alpha 90.00
_cell_angle_beta 112.28
_cell_angle_gamma 90.00
loop_
_space_group_symop_operation_xyz
'x,y,z'
'-x,y,-z'
'x+1/2,y+1/2,z'
'-x+1/2,y+1/2,-z'
loop_
_atom_site_label
_atom_site_type_symbol
_atom_site_fract_x
_atom_site_fract_y
_atom_site_fract_z
Ba1 Ba 0.1880 0.0000 0.2123
Mo1 Mo 0.0000 0.4674 0.5000
Mo2 Mo 0.0000 0.4851 0.0000
N1 N 0.0973 0.3193 0.8316
N2 N 0.1010 0.6268 0.3453
```


No. 6
The following is a theoretical powder X-ray diffraction pattern of Ba2NaMoN4. It was derived from the GGA-PBE geometry in Alexandria, using a wavelength of 1.5418 Å.

The 6 most intense peaks (10° ≤ 2θ ≤ 90°), in order of rising 2θ:
d 3.214, I 27, hkl 0 0 2; d 3.085, I 31, hkl 2 0 0; d 2.984, I 100, hkl 1 2 1; d 2.225, I 25, hkl 2 0 2; d 1.808, I 20, hkl 1 2 3; d 1.761, I 24, hkl 3 2 1

Structure:
```
data_Ba2NaMoN4
_space_group_name_H-M_alt 'P m m n'
_space_group_IT_number 59
_cell_length_a 6.1696
_cell_length_b 8.0423
_cell_length_c 6.4274
_cell_angle_alpha 90.00
_cell_angle_beta 90.00
_cell_angle_gamma 90.00
loop_
_space_group_symop_operation_xyz
'x,y,z'
'-x,-y,-z'
'-x+1/2,-y+1/2,z'
'x+1/2,y+1/2,-z'
'x+1/2,-y,-z'
'-x+1/2,y,z'
'-x,y+1/2,-z'
'x,-y+1/2,z'
loop_
_atom_site_label
_atom_site_type_symbol
_atom_site_fract_x
_atom_site_fract_y
_atom_site_fract_z
Ba1 Ba 0.2500 0.0035 0.2257
Na1 Na 0.2500 0.2500 0.7578
Mo1 Mo 0.2500 0.7500 0.7893
N1 N 0.0088 0.7500 0.9662
N2 N 0.2500 0.5494 0.6373
```


No. 7
The following is a theoretical powder X-ray diffraction pattern of BaNdMoN3. It was derived from the GGA-PBE geometry in Alexandria, using a wavelength of 1.5418 Å.

The 6 most intense peaks (10° ≤ 2θ ≤ 90°), in order of rising 2θ:
d 2.986, I 92, hkl 3 1 0; d 2.926, I 44, hkl 2 0 2; d 2.888, I 40, hkl 4 0 -2; d 2.777, I 100, hkl 1 1 -2; d 2.227, I 27, hkl 6 0 0; d 2.012, I 27, hkl 0 2 0

Structure:
```
data_BaNdMoN3
_space_group_name_H-M_alt 'C 1 2/m 1'
_space_group_IT_number 12
_cell_length_a 13.8547
_cell_length_b 4.0238
_cell_length_c 7.6736
_cell_angle_alpha 90.00
_cell_angle_beta 105.33
_cell_angle_gamma 90.00
loop_
_space_group_symop_operation_xyz
'x,y,z'
'-x,-y,-z'
'-x,y,-z'
'x,-y,z'
'x+1/2,y+1/2,z'
'-x+1/2,-y+1/2,-z'
'-x+1/2,y+1/2,-z'
'x+1/2,-y+1/2,z'
loop_
_atom_site_label
_atom_site_type_symbol
_atom_site_fract_x
_atom_site_fract_y
_atom_site_fract_z
Ba1 Ba 0.1402 0.0000 0.0735
Nd1 Nd 0.1579 0.0000 0.5700
Mo1 Mo 0.0026 0.5000 0.6869
N1 N 0.0049 0.0000 0.2983
N2 N 0.1434 0.5000 0.7982
N3 N 0.1573 0.5000 0.3578
```


No. 8
The following is a theoretical powder X-ray diffraction pattern of Ba2PmMo2N6. It was derived from the GGA-PBE geometry in Alexandria, using a wavelength of 1.5418 Å.

The 6 most intense peaks (10° ≤ 2θ ≤ 90°), in order of rising 2θ:
d 3.497, I 46, hkl 1 1 1; d 3.154, I 100, hkl 3 1 -1; d 3.129, I 56, hkl 0 2 0; d 3.086, I 86, hkl 1 1 -2; d 2.174, I 23, hkl 2 2 1; d 1.702, I 21, hkl 3 1 2

Structure:
```
data_Ba2PmMo2N6
_space_group_name_H-M_alt 'C 1 2/m 1'
_space_group_IT_number 12
_cell_length_a 10.9608
_cell_length_b 6.2579
_cell_length_c 7.2832
_cell_angle_alpha 90.00
_cell_angle_beta 122.00
_cell_angle_gamma 90.00
loop_
_space_group_symop_operation_xyz
'x,y,z'
'-x,-y,-z'
'-x,y,-z'
'x,-y,z'
'x+1/2,y+1/2,z'
'-x+1/2,-y+1/2,-z'
'-x+1/2,y+1/2,-z'
'x+1/2,-y+1/2,z'
loop_
_atom_site_label
_atom_site_type_symbol
_atom_site_fract_x
_atom_site_fract_y
_atom_site_fract_z
Ba1 Ba 0.2093 0.0000 0.1784
Pm1 Pm 0.0000 0.0000 0.5000
Mo1 Mo 0.0397 0.5000 0.2151
N1 N 0.0536 0.2583 0.7830
N2 N 0.2384 0.5000 0.3826
```